[1]
Structure and simulated powder diffraction line list of Cs4RbCu3F12 (the PBE geometry in Alexandria; Cu Kα (weighted mean of Kα1 and Kα2)).

Principal peaks in the range 15 to 90 degrees two-theta, sorted by position:
19.93°, intensity 4, hkl 2 0 0
28.33°, intensity 100, hkl 2 2 0
34.88°, intensity 14, hkl 2 2 2
40.50°, intensity 36, hkl 4 0 0
50.16°, intensity 39, hkl 4 2 2
58.61°, intensity 21, hkl 4 4 0
66.35°, intensity 19, hkl 6 2 0
70.05°, intensity 4, hkl 6 2 2
73.66°, intensity 7, hkl 4 4 4
80.70°, intensity 21, hkl 6 4 2

Cell and atoms:
Lattice parameters (Å, degrees): 8.9100 8.9100 8.9100 90.00 90.00 90.00
Space group Im-3m (No. 229)
Unique sites:
Cs (0.2500, 0.2500, 0.2500) (multiplicity 8)
Rb (0.0000, 0.0000, 0.0000) (multiplicity 2)
Cu (0.0000, 0.0000, 0.5000) (multiplicity 6)
F (0.0000, 0.0000, 0.2928) (multiplicity 12)
F (0.0000, 0.2500, 0.5000) (multiplicity 12)


[2]
Structure and simulated powder diffraction line list of PaZn3N4 (the PBE geometry in Alexandria; Cu Kα (weighted mean of Kα1 and Kα2)).

Principal peaks in the range 15 to 90 degrees two-theta, sorted by position:
16.13°, intensity 100, hkl 1 1 0
22.49°, intensity 42, hkl 2 0 0
23.28°, intensity 32, hkl 0 2 0
30.47°, intensity 58, hkl 1 1 1
32.59°, intensity 85, hkl 2 2 0
32.71°, intensity 75, hkl 2 0 -1
34.39°, intensity 89, hkl 0 2 1
34.93°, intensity 45, hkl 2 0 1
36.05°, intensity 47, hkl 3 1 0
37.08°, intensity 51, hkl 1 3 0

Cell and atoms:
Lattice parameters (Å, degrees): 7.9229 7.6422 3.5757 90.00 93.67 90.00
Space group Cm (No. 8)
Unique sites:
Pa (0.0000, 0.0000, 0.0000) (multiplicity 2)
Zn (0.1623, 0.2989, 0.4953) (multiplicity 4)
Zn (0.3980, 0.0000, 0.8889) (multiplicity 2)
N (0.0328, 0.2865, 0.9806) (multiplicity 4)
N (0.1964, 0.0000, 0.5108) (multiplicity 2)
N (0.3222, 0.5000, 0.4869) (multiplicity 2)


[3]
Structure and simulated powder diffraction line list of VPt3 (the PBE geometry in Alexandria; Cu Kα (weighted mean of Kα1 and Kα2)).

Principal peaks in the range 15 to 90 degrees two-theta, sorted by position:
22.44°, intensity 5, hkl 0 0 2
25.51°, intensity 16, hkl 1 0 1
39.90°, intensity 100, hkl 1 1 2
45.79°, intensity 17, hkl 0 0 4
46.70°, intensity 32, hkl 2 0 0
67.48°, intensity 21, hkl 2 0 4
68.19°, intensity 10, hkl 2 2 0
80.70°, intensity 13, hkl 1 1 6
82.02°, intensity 25, hkl 3 1 2
86.05°, intensity 11, hkl 2 2 4

Cell and atoms:
Lattice parameters (Å, degrees): 3.8899 3.8899 7.9256 90.00 90.00 90.00
Space group I4/mmm (No. 139)
Unique sites:
V (0.0000, 0.0000, 0.0000) (multiplicity 2)
Pt (0.0000, 0.0000, 0.5000) (multiplicity 2)
Pt (0.0000, 0.5000, 0.2500) (multiplicity 4)


[4]
Structure and simulated powder diffraction line list of Dy8Te3P3C (the PBE geometry in Alexandria; Cu Kα (weighted mean of Kα1 and Kα2)).

Principal peaks in the range 15 to 90 degrees two-theta, sorted by position:
26.92°, intensity 29, hkl 2 2 0
30.65°, intensity 100, hkl 4 0 0
33.20°, intensity 27, hkl 2 2 1
37.96°, intensity 13, hkl 0 0 3
42.70°, intensity 25, hkl 2 2 2
45.07°, intensity 37, hkl 0 4 0
55.49°, intensity 16, hkl 4 4 0
60.35°, intensity 18, hkl 6 2 1
62.57°, intensity 12, hkl 4 0 3
81.52°, intensity 11, hkl 2 2 5

Cell and atoms:
Lattice parameters (Å, degrees): 13.9308 8.0511 8.4929 90.00 123.15 90.00
Space group C2/m (No. 12)
Unique sites:
Dy (0.0112, 0.2281, 0.3059) (multiplicity 8)
Dy (0.2168, 0.0000, 0.6942) (multiplicity 4)
Dy (0.2352, 0.5000, 0.7059) (multiplicity 4)
Te (0.0000, 0.0000, 0.0000) (multiplicity 2)
Te (0.2500, 0.2500, 0.0000) (multiplicity 4)
P (0.0000, 0.5000, 0.5000) (multiplicity 2)
P (0.2500, 0.2500, 0.5000) (multiplicity 4)
C (0.0000, 0.0000, 0.5000) (multiplicity 2)


[5]
Structure and simulated powder diffraction line list of MgHgSe2 (the PBE geometry in Alexandria; Cu Kα (weighted mean of Kα1 and Kα2)).

Principal peaks in the range 15 to 90 degrees two-theta, sorted by position:
15.63°, intensity 43, hkl 1 1 0
16.18°, intensity 53, hkl 0 1 1
23.74°, intensity 100, hkl 1 2 0
25.14°, intensity 59, hkl 0 0 2
26.91°, intensity 76, hkl 2 0 1
34.85°, intensity 38, hkl 1 2 2
41.68°, intensity 60, hkl 3 2 0
41.85°, intensity 30, hkl 0 4 0
45.39°, intensity 91, hkl 2 0 3
49.30°, intensity 38, hkl 3 2 2

Cell and atoms:
Lattice parameters (Å, degrees): 7.5156 8.6340 7.0859 90.00 90.00 90.00
Space group Pna2_1 (No. 33)
Unique sites:
Mg (0.0827, 0.1249, 0.0000) (multiplicity 4)
Hg (0.0869, 0.6237, 0.9986) (multiplicity 4)
Se (0.0756, 0.1183, 0.6333) (multiplicity 4)
Se (0.0897, 0.6326, 0.6160) (multiplicity 4)


[6]
Structure and simulated powder diffraction line list of Y5Sn3 (the PBE geometry in Alexandria; Cu Kα (weighted mean of Kα1 and Kα2)).

Principal peaks in the range 15 to 90 degrees two-theta, sorted by position:
27.12°, intensity 25, hkl 0 0 2
30.43°, intensity 24, hkl 2 1 0
33.41°, intensity 100, hkl 2 1 1
33.80°, intensity 71, hkl 1 1 2
34.62°, intensity 38, hkl 3 0 0
44.22°, intensity 18, hkl 3 1 1
49.16°, intensity 14, hkl 2 2 2
52.06°, intensity 28, hkl 2 1 3
58.92°, intensity 12, hkl 2 2 3
66.54°, intensity 21, hkl 5 0 2

Cell and atoms:
Lattice parameters (Å, degrees): 8.9744 8.9744 6.5751 90.00 90.00 120.00
Space group P6_3/mcm (No. 193)
Unique sites:
Y (0.0000, 0.2386, 0.2500) (multiplicity 6)
Y (0.3333, 0.6667, 0.0000) (multiplicity 4)
Sn (0.0000, 0.3951, 0.7500) (multiplicity 6)


[7]
Structure and simulated powder diffraction line list of Cs3Na3CoBr8 (the PBE geometry in Alexandria; Cu Kα (weighted mean of Kα1 and Kα2)).

Principal peaks in the range 15 to 90 degrees two-theta, sorted by position:
23.37°, intensity 15, hkl 2 2 -1
27.32°, intensity 100, hkl 4 0 0
29.45°, intensity 32, hkl 4 0 -3
32.77°, intensity 14, hkl 0 0 3
37.42°, intensity 24, hkl 2 2 2
40.56°, intensity 36, hkl 0 4 0
49.59°, intensity 16, hkl 4 4 0
53.09°, intensity 17, hkl 0 4 3
53.99°, intensity 9, hkl 4 0 3
65.93°, intensity 12, hkl 10 2 -2

Cell and atoms:
Lattice parameters (Å, degrees): 15.4191 8.8912 9.6805 90.00 122.11 90.00
Space group C2/m (No. 12)
Unique sites:
Cs (0.0000, 0.0000, 0.0000) (multiplicity 2)
Cs (0.2500, 0.2500, 0.0000) (multiplicity 4)
Na (0.0000, 0.5000, 0.5000) (multiplicity 2)
Na (0.2500, 0.2500, 0.5000) (multiplicity 4)
Co (0.0000, 0.0000, 0.5000) (multiplicity 2)
Br (0.0134, 0.2185, 0.3222) (multiplicity 8)
Br (0.2050, 0.0000, 0.6777) (multiplicity 4)
Br (0.2320, 0.5000, 0.6957) (multiplicity 4)


[8]
Structure and simulated powder diffraction line list of SmDy2HoTh (the PBE geometry in Alexandria; Cu Kα (weighted mean of Kα1 and Kα2)).

Principal peaks in the range 15 to 90 degrees two-theta, sorted by position:
21.02°, intensity 44, hkl 2 0 0
27.52°, intensity 58, hkl 2 1 -1
28.59°, intensity 54, hkl 0 0 2
29.90°, intensity 100, hkl 1 2 0
30.59°, intensity 78, hkl 2 1 1
31.76°, intensity 42, hkl 3 0 0
31.90°, intensity 48, hkl 0 1 2
32.55°, intensity 49, hkl 1 2 -1
34.99°, intensity 51, hkl 1 1 2
42.41°, intensity 46, hkl 3 1 -2

Cell and atoms:
Lattice parameters (Å, degrees): 8.5421 6.3902 6.3104 90.00 98.32 90.00
Space group P2/c (No. 13)
Unique sites:
Sm (0.0000, 0.0000, 0.0000) (multiplicity 2)
Dy (0.3143, 0.3109, 0.2059) (multiplicity 4)
Ho (0.5000, 0.1756, 0.7500) (multiplicity 2)
Th (0.0000, 0.4494, 0.7500) (multiplicity 2)


[9]
Structure and simulated powder diffraction line list of La3CoHg2 (the PBE geometry in Alexandria; Cu Kα (weighted mean of Kα1 and Kα2)).

Principal peaks in the range 15 to 90 degrees two-theta, sorted by position:
29.56°, intensity 90, hkl 1 1 1
31.54°, intensity 98, hkl 1 5 0
31.97°, intensity 100, hkl 0 4 1
33.28°, intensity 98, hkl 1 3 1
33.70°, intensity 80, hkl 2 0 0
39.79°, intensity 28, hkl 1 5 1
47.14°, intensity 68, hkl 2 4 1
48.36°, intensity 29, hkl 0 0 2
58.90°, intensity 51, hkl 3 5 0
60.24°, intensity 30, hkl 2 0 2

Cell and atoms:
Lattice parameters (Å, degrees): 5.3192 16.7628 3.7643 90.00 90.00 90.00
Space group Cmmm (No. 65)
Unique sites:
La (0.0000, 0.0000, 0.0000) (multiplicity 2)
La (0.0000, 0.3687, 0.5000) (multiplicity 4)
Co (0.0000, 0.5000, 0.0000) (multiplicity 2)
Hg (0.0000, 0.1976, 0.0000) (multiplicity 4)


[10]
Structure and simulated powder diffraction line list of Pm2Er5TmTh (the PBE geometry in Alexandria; Cu Kα (weighted mean of Kα1 and Kα2)).

Principal peaks in the range 15 to 90 degrees two-theta, sorted by position:
28.97°, intensity 37, hkl 2 1 3
29.13°, intensity 54, hkl 2 2 0
31.26°, intensity 100, hkl 2 0 4
32.66°, intensity 14, hkl 3 1 0
37.88°, intensity 14, hkl 3 2 1
41.21°, intensity 9, hkl 2 0 6
43.42°, intensity 20, hkl 4 0 2
47.77°, intensity 11, hkl 0 0 8
53.00°, intensity 26, hkl 4 2 4
56.93°, intensity 13, hkl 2 2 8

Cell and atoms:
Lattice parameters (Å, degrees): 8.6705 8.6705 15.2319 90.00 90.00 90.00
Space group I4/mcm (No. 140)
Unique sites:
Pm (0.1156, 0.3844, 0.0000) (multiplicity 8)
Er (0.0000, 0.0000, 0.0000) (multiplicity 4)
Er (0.2128, 0.2872, 0.3608) (multiplicity 16)
Tm (0.0000, 0.5000, 0.2500) (multiplicity 4)
Th (0.0000, 0.0000, 0.2500) (multiplicity 4)


[11]
Structure and simulated powder diffraction line list of As2Pb (the PBE geometry in Alexandria; Cu Kα (weighted mean of Kα1 and Kα2)).

Principal peaks in the range 15 to 90 degrees two-theta, sorted by position:
22.98°, intensity 54, hkl 1 0 0
28.66°, intensity 63, hkl 1 0 1
34.15°, intensity 31, hkl 0 0 2
37.05°, intensity 100, hkl 1 1 1
41.57°, intensity 24, hkl 1 0 2
46.96°, intensity 26, hkl 2 0 0
55.94°, intensity 20, hkl 2 1 1
59.33°, intensity 26, hkl 2 0 2
63.05°, intensity 21, hkl 1 1 3
80.61°, intensity 22, hkl 3 1 1

Cell and atoms:
Lattice parameters (Å, degrees): 3.8700 3.8700 5.2504 90.00 90.00 90.00
Space group P4/mmm (No. 123)
Unique sites:
As (0.0000, 0.5000, 0.0000) (multiplicity 2)
Pb (0.0000, 0.0000, 0.5000) (multiplicity 1)


[12]
Structure and simulated powder diffraction line list of Pa3Ga3Tc2 (the PBE geometry in Alexandria; Cu Kα (weighted mean of Kα1 and Kα2)).

Principal peaks in the range 15 to 90 degrees two-theta, sorted by position:
20.16°, intensity 16, hkl 2 0 0
31.76°, intensity 100, hkl 2 4 0
35.33°, intensity 35, hkl 3 0 1
36.48°, intensity 17, hkl 2 4 1
36.80°, intensity 23, hkl 0 6 0
37.45°, intensity 38, hkl 1 1 2
39.99°, intensity 15, hkl 3 3 1
41.43°, intensity 25, hkl 1 3 2
51.15°, intensity 15, hkl 3 3 2
58.08°, intensity 15, hkl 1 7 2

Cell and atoms:
Lattice parameters (Å, degrees): 8.8099 14.6684 5.0668 90.00 90.00 90.00
Space group Pnma (No. 62)
Unique sites:
Pa (0.0305, 0.1170, 0.1032) (multiplicity 8)
Pa (0.1649, 0.2500, 0.5894) (multiplicity 4)
Ga (0.1680, 0.7500, 0.5830) (multiplicity 4)
Ga (0.2165, 0.0363, 0.5977) (multiplicity 8)
Tc (0.0543, 0.5955, 0.3736) (multiplicity 8)


Q: Which formula does entry 10 have?
A: Pm2Er5TmTh